1.
For K2CdPb, a GGA-PBE-relaxed structure gives the theoretical powder diffraction line list in this record (Cu Ka).
Peak positions follow from Bragg's law for the DFT cell and can differ from measured ones.

Main lines, sorted by position (10 to 90 degrees two-theta):
2θ = 15.9°, intensity 88
2θ = 18.5°, intensity 100
2θ = 29.3°, intensity 83
2θ = 29.8°, intensity 32
2θ = 31.8°, intensity 27
2θ = 33.9°, intensity 44
2θ = 34.6°, intensity 30
2θ = 37.6°, intensity 59
2θ = 47.3°, intensity 29
2θ = 48.9°, intensity 23

Crystal structure
```
data_K2CdPb
_chemical_formula_sum 'K8 Cd4 Pb4'
_cell_length_a 6.6588
_cell_length_b 8.7276
_cell_length_c 11.1638
_cell_angle_alpha 90.00
_cell_angle_beta 90.00
_cell_angle_gamma 90.00
_symmetry_space_group_name_H-M 'A m a 2'
_symmetry_Int_Tables_number 40
loop_
_symmetry_equiv_pos_as_xyz
'x,y,z'
'-x,-y,z'
'-x+1/2,y,z'
'x+1/2,-y,z'
'x,y+1/2,z+1/2'
'-x,-y+1/2,z+1/2'
'-x+1/2,y+1/2,z+1/2'
'x+1/2,-y+1/2,z+1/2'
loop_
_atom_site_label
_atom_site_fract_x
_atom_site_fract_y
_atom_site_fract_z
K1 0.2500 0.1423 0.0000
K2 0.2500 0.1501 0.6484
Cd1 0.0000 0.0000 0.3276
Pb1 0.2500 0.2738 0.3227
```



2.
For BaNaH3Pd, a GGA-PBE-relaxed structure gives the theoretical powder diffraction line list in this record (Cu Ka).
Peak positions follow from Bragg's law for the DFT cell and can differ from measured ones.

Main lines, sorted by position (10 to 90 degrees two-theta):
2θ = 16.8°, intensity 49
2θ = 28.8°, intensity 25
2θ = 29.3°, intensity 100
2θ = 33.5°, intensity 42
2θ = 41.5°, intensity 51
2θ = 45.1°, intensity 19
2θ = 52.0°, intensity 20
2θ = 54.7°, intensity 20
2θ = 60.5°, intensity 17
2θ = 67.8°, intensity 18

Crystal structure
```
data_BaNaH3Pd
_chemical_formula_sum 'Ba2 Na2 H6 Pd2'
_cell_length_a 6.0897
_cell_length_b 6.0897
_cell_length_c 6.2097
_cell_angle_alpha 90.00
_cell_angle_beta 90.00
_cell_angle_gamma 120.00
_symmetry_space_group_name_H-M 'P 63/m m c'
_symmetry_Int_Tables_number 194
_symmetry_space_group_name_Hall '-P 6c 2c'
loop_
_atom_site_label
_atom_site_fract_x
_atom_site_fract_y
_atom_site_fract_z
Ba1 0.3333 0.6667 0.2500
Na1 0.0000 0.0000 0.0000
H1 0.1681 0.3361 0.7500
Pd1 0.3333 0.6667 0.7500
```



3.
For BaPrO3, a GGA-PBE-relaxed structure gives the theoretical powder diffraction line list in this record (Cu Ka).
Peak positions follow from Bragg's law for the DFT cell and can differ from measured ones.

Main lines, sorted by position (10 to 90 degrees two-theta):
2θ = 27.5°, intensity 23
2θ = 27.7°, intensity 100
2θ = 27.8°, intensity 23
2θ = 39.5°, intensity 38
2θ = 48.7°, intensity 18
2θ = 48.8°, intensity 12
2θ = 49.1°, intensity 35
2θ = 57.2°, intensity 14
2θ = 64.7°, intensity 9
2θ = 78.7°, intensity 10

Crystal structure
```
data_BaPrO3
_chemical_formula_sum 'Ba4 Pr4 O12'
_cell_length_a 6.4969
_cell_length_b 9.1070
_cell_length_c 6.4105
_cell_angle_alpha 90.00
_cell_angle_beta 90.00
_cell_angle_gamma 90.00
_symmetry_space_group_name_H-M 'P n m a'
_symmetry_Int_Tables_number 62
loop_
_symmetry_equiv_pos_as_xyz
'x,y,z'
'-x,-y,-z'
'-x+1/2,-y,z+1/2'
'x+1/2,y,-z+1/2'
'x+1/2,-y+1/2,-z+1/2'
'-x+1/2,y+1/2,z+1/2'
'-x,y+1/2,-z'
'x,-y+1/2,z'
loop_
_atom_site_label
_atom_site_fract_x
_atom_site_fract_y
_atom_site_fract_z
Ba1 0.0367 0.2500 0.0159
Pr1 0.0000 0.0000 0.5000
O1 0.0369 0.7500 0.4011
O2 0.2180 0.5560 0.7825
```



4.
For LiCdHg2, a GGA-PBE-relaxed structure gives the theoretical powder diffraction line list in this record (Cu Ka).
Peak positions follow from Bragg's law for the DFT cell and can differ from measured ones.

Main lines, sorted by position (10 to 90 degrees two-theta):
2θ = 22.0°, intensity 11
2θ = 25.4°, intensity 35
2θ = 36.3°, intensity 100
2θ = 44.8°, intensity 11
2θ = 52.2°, intensity 18
2θ = 59.0°, intensity 15
2θ = 65.3°, intensity 36
2θ = 77.0°, intensity 11
2θ = 82.7°, intensity 8
2θ = 88.2°, intensity 17

Crystal structure
```
data_LiCdHg2
_chemical_formula_sum 'Li4 Cd4 Hg8'
_cell_length_a 7.0047
_cell_length_b 7.0047
_cell_length_c 7.0047
_cell_angle_alpha 90.00
_cell_angle_beta 90.00
_cell_angle_gamma 90.00
_symmetry_space_group_name_H-M 'F m -3 m'
_symmetry_Int_Tables_number 225
_symmetry_space_group_name_Hall '-F 4 2 3'
loop_
_atom_site_label
_atom_site_fract_x
_atom_site_fract_y
_atom_site_fract_z
Li1 0.0000 0.0000 0.0000
Cd1 0.0000 0.0000 0.5000
Hg1 0.2500 0.2500 0.2500
```



5.
For NaPr8Se12, a GGA-PBE-relaxed structure gives the theoretical powder diffraction line list in this record (Cu Ka).
Peak positions follow from Bragg's law for the DFT cell and can differ from measured ones.

Main lines, sorted by position (10 to 90 degrees two-theta):
2θ = 24.2°, intensity 21
2θ = 31.4°, intensity 100
2θ = 37.3°, intensity 67
2θ = 44.9°, intensity 15
2θ = 47.3°, intensity 15
2θ = 49.5°, intensity 12
2θ = 51.7°, intensity 11
2θ = 63.5°, intensity 10
2θ = 63.6°, intensity 20
2θ = 67.3°, intensity 9

Crystal structure
```
data_NaPr8Se12
_chemical_formula_sum 'Na4 Pr32 Se48'
_cell_length_a 9.0098
_cell_length_b 9.0098
_cell_length_c 27.1093
_cell_angle_alpha 90.00
_cell_angle_beta 90.00
_cell_angle_gamma 90.00
_symmetry_space_group_name_H-M 'I -4 2 d'
_symmetry_Int_Tables_number 122
_symmetry_space_group_name_Hall 'I -4 2bw'
loop_
_atom_site_label
_atom_site_fract_x
_atom_site_fract_y
_atom_site_fract_z
Na1 0.0000 0.0000 0.0000
Pr1 0.0000 0.0000 0.3326
Pr2 0.1199 0.7500 0.1250
Pr3 0.1287 0.7464 0.4594
Se1 0.0740 0.6745 0.6831
Se2 0.0737 0.6793 0.3527
Se3 0.0777 0.6744 0.0160
```



6.
For UH6C2SeN3O7, a GGA-PBE-relaxed structure gives the theoretical powder diffraction line list in this record (Cu Ka).
Peak positions follow from Bragg's law for the DFT cell and can differ from measured ones.

Main lines, sorted by position (10 to 90 degrees two-theta):
2θ = 14.3°, intensity 100
2θ = 15.6°, intensity 23
2θ = 15.9°, intensity 20
2θ = 18.4°, intensity 30
2θ = 22.0°, intensity 20
2θ = 22.5°, intensity 28
2θ = 25.1°, intensity 31
2θ = 27.0°, intensity 18
2θ = 30.4°, intensity 19
2θ = 31.0°, intensity 21

Crystal structure
```
data_UH6C2SeN3O7
_chemical_formula_sum 'U2 H12 C4 Se2 N6 O14'
_cell_length_a 7.1708
_cell_length_b 8.0012
_cell_length_c 9.3174
_cell_angle_alpha 92.80
_cell_angle_beta 105.79
_cell_angle_gamma 96.63
_symmetry_space_group_name_H-M 'P -1'
_symmetry_Int_Tables_number 2
loop_
_symmetry_equiv_pos_as_xyz
'x,y,z'
'-x,-y,-z'
loop_
_atom_site_label
_atom_site_fract_x
_atom_site_fract_y
_atom_site_fract_z
U1 0.1529 0.2608 0.3065
H1 0.1434 0.3218 0.7391
H2 0.1953 0.3972 0.9245
H3 0.3435 0.1488 0.6598
H4 0.3549 0.7759 0.9635
H5 0.4427 0.8955 0.2117
H6 0.4815 0.3320 0.0979
C1 0.1023 0.9735 0.0158
C2 0.3963 0.2580 0.8735
Se1 0.2817 0.6678 0.5424
N1 0.2223 0.3170 0.8466
N2 0.4409 0.1715 0.7634
N3 0.4768 0.7142 0.9907
O1 0.1319 0.8746 0.9167
O2 0.1450 0.6878 0.6659
O3 0.1493 0.4265 0.1781
O4 0.1667 0.0955 0.4361
O5 0.2253 0.0327 0.1383
O6 0.2516 0.4490 0.5123
O7 0.4875 0.2925 0.3361
```



7.
For MgZr3, a GGA-PBE-relaxed structure gives the theoretical powder diffraction line list in this record (Cu Ka).
Peak positions follow from Bragg's law for the DFT cell and can differ from measured ones.

Main lines, sorted by position (10 to 90 degrees two-theta):
2θ = 19.5°, intensity 5
2θ = 22.2°, intensity 15
2θ = 34.6°, intensity 100
2θ = 39.6°, intensity 17
2θ = 40.5°, intensity 32
2θ = 58.0°, intensity 22
2θ = 58.6°, intensity 10
2θ = 68.7°, intensity 13
2θ = 69.9°, intensity 24
2θ = 73.1°, intensity 11

Crystal structure
```
data_MgZr3
_chemical_formula_sum 'Mg2 Zr6'
_cell_length_a 4.4537
_cell_length_b 4.4537
_cell_length_c 9.0958
_cell_angle_alpha 90.00
_cell_angle_beta 90.00
_cell_angle_gamma 90.00
_symmetry_space_group_name_H-M 'I 4/m m m'
_symmetry_Int_Tables_number 139
_symmetry_space_group_name_Hall '-I 4 2'
loop_
_atom_site_label
_atom_site_fract_x
_atom_site_fract_y
_atom_site_fract_z
Mg1 0.0000 0.0000 0.0000
Zr1 0.0000 0.0000 0.5000
Zr2 0.0000 0.5000 0.2500
```



8.
For Lu2MgSe4, a GGA-PBE-relaxed structure gives the theoretical powder diffraction line list in this record (Cu Ka).
Peak positions follow from Bragg's law for the DFT cell and can differ from measured ones.

Main lines, sorted by position (10 to 90 degrees two-theta):
2θ = 14.7°, intensity 77
2θ = 23.9°, intensity 50
2θ = 26.6°, intensity 100
2θ = 29.6°, intensity 71
2θ = 31.5°, intensity 77
2θ = 33.5°, intensity 79
2θ = 41.0°, intensity 65
2θ = 41.2°, intensity 42
2θ = 43.9°, intensity 46
2θ = 46.5°, intensity 59

Crystal structure
```
data_Lu2MgSe4
_chemical_formula_sum 'Lu8 Mg4 Se16'
_cell_length_a 12.9987
_cell_length_b 3.9181
_cell_length_c 13.6072
_cell_angle_alpha 90.00
_cell_angle_beta 90.00
_cell_angle_gamma 90.00
_symmetry_space_group_name_H-M 'P n m a'
_symmetry_Int_Tables_number 62
loop_
_symmetry_equiv_pos_as_xyz
'x,y,z'
'-x,-y,-z'
'-x+1/2,-y,z+1/2'
'x+1/2,y,-z+1/2'
'x+1/2,-y+1/2,-z+1/2'
'-x+1/2,y+1/2,z+1/2'
'-x,y+1/2,-z'
'x,-y+1/2,z'
loop_
_atom_site_label
_atom_site_fract_x
_atom_site_fract_y
_atom_site_fract_z
Lu1 0.1103 0.2500 0.0815
Lu2 0.1454 0.2500 0.7029
Mg1 0.1256 0.7500 0.4242
Se1 0.0231 0.7500 0.6105
Se2 0.0350 0.2500 0.8812
Se3 0.2152 0.2500 0.2626
Se4 0.2500 0.2500 0.5204
```



9.
For LaCuSeO, a GGA-PBE-relaxed structure gives the theoretical powder diffraction line list in this record (Cu Ka).
Peak positions follow from Bragg's law for the DFT cell and can differ from measured ones.

Main lines, sorted by position (10 to 90 degrees two-theta):
2θ = 29.9°, intensity 100
2θ = 31.1°, intensity 18
2θ = 32.7°, intensity 20
2θ = 37.3°, intensity 32
2θ = 44.5°, intensity 37
2θ = 46.8°, intensity 10
2θ = 52.2°, intensity 30
2θ = 54.5°, intensity 36
2θ = 64.8°, intensity 11
2θ = 87.8°, intensity 13

Crystal structure
```
data_LaCuSeO
_chemical_formula_sum 'La2 Cu2 Se2 O2'
_cell_length_a 4.0695
_cell_length_b 4.0695
_cell_length_c 8.8245
_cell_angle_alpha 90.00
_cell_angle_beta 90.00
_cell_angle_gamma 90.00
_symmetry_space_group_name_H-M 'P 4/n m m'
_symmetry_Int_Tables_number 129
loop_
_symmetry_equiv_pos_as_xyz
'x,y,z'
'-x,-y,-z'
'-y+1/2,x,z'
'y+1/2,-x,-z'
'-x+1/2,-y+1/2,z'
'x+1/2,y+1/2,-z'
'y,-x+1/2,z'
'-y,x+1/2,-z'
'x+1/2,-y,-z'
'-x+1/2,y,z'
'-y,-x,-z'
'y,x,z'
'-x,y+1/2,-z'
'x,-y+1/2,z'
'y+1/2,x+1/2,-z'
'-y+1/2,-x+1/2,z'
loop_
_atom_site_label
_atom_site_fract_x
_atom_site_fract_y
_atom_site_fract_z
La1 0.2500 0.2500 0.1400
Cu1 0.2500 0.7500 0.5000
Se1 0.2500 0.2500 0.6692
O1 0.2500 0.7500 0.0000
```



10.
For AgO2, a GGA-PBE-relaxed structure gives the theoretical powder diffraction line list in this record (Cu Ka).
Peak positions follow from Bragg's law for the DFT cell and can differ from measured ones.

Main lines, sorted by position (10 to 90 degrees two-theta):
2θ = 27.4°, intensity 100
2θ = 33.7°, intensity 3
2θ = 39.1°, intensity 10
2θ = 48.3°, intensity 40
2θ = 56.4°, intensity 19
2θ = 63.8°, intensity 17
2θ = 67.3°, intensity 1
2θ = 70.8°, intensity 2
2θ = 77.4°, intensity 19
2θ = 83.9°, intensity 3

Crystal structure
```
data_AgO2
_chemical_formula_sum 'Ag2 O4'
_cell_length_a 4.6116
_cell_length_b 4.6116
_cell_length_c 4.6116
_cell_angle_alpha 90.00
_cell_angle_beta 90.00
_cell_angle_gamma 90.00
_symmetry_space_group_name_H-M 'P n -3 m'
_symmetry_Int_Tables_number 224
loop_
_symmetry_equiv_pos_as_xyz
'x,y,z'
'-x,-y,-z'
'-y,x+1/2,z+1/2'
'y,-x+1/2,-z+1/2'
'-x+1/2,-y+1/2,z'
'x+1/2,y+1/2,-z'
'y+1/2,-x,z+1/2'
'-y+1/2,x,-z+1/2'
'x,-y+1/2,-z+1/2'
'-x,y+1/2,z+1/2'
'-y,-x,-z'
'y,x,z'
'-x+1/2,y,-z+1/2'
'x+1/2,-y,z+1/2'
'y+1/2,x+1/2,-z'
'-y+1/2,-x+1/2,z'
'z,x,y'
'-z,-x,-y'
'z+1/2,-y,x+1/2'
'-z+1/2,y,-x+1/2'
'z,-x+1/2,-y+1/2'
'-z,x+1/2,y+1/2'
'z+1/2,y+1/2,-x'
'-z+1/2,-y+1/2,x'
'-z+1/2,x,-y+1/2'
'z+1/2,-x,y+1/2'
'-z,-y,-x'
'z,y,x'
'-z+1/2,-x+1/2,y'
'z+1/2,x+1/2,-y'
'-z,y+1/2,x+1/2'
'z,-y+1/2,-x+1/2'
'y,z,x'
'-y,-z,-x'
'x+1/2,z+1/2,-y'
'-x+1/2,-z+1/2,y'
'-y+1/2,z,-x+1/2'
'y+1/2,-z,x+1/2'
'-x,z+1/2,y+1/2'
'x,-z+1/2,-y+1/2'
'-y+1/2,-z+1/2,x'
'y+1/2,z+1/2,-x'
'-x,-z,-y'
'x,z,y'
'y,-z+1/2,-x+1/2'
'-y,z+1/2,x+1/2'
'x+1/2,-z,y+1/2'
'-x+1/2,z,-y+1/2'
loop_
_atom_site_label
_atom_site_fract_x
_atom_site_fract_y
_atom_site_fract_z
Ag1 0.2500 0.2500 0.2500
O1 0.0000 0.0000 0.0000
```



11.
For LiDyGe, a GGA-PBE-relaxed structure gives the theoretical powder diffraction line list in this record (Cu Ka).
Peak positions follow from Bragg's law for the DFT cell and can differ from measured ones.

Main lines, sorted by position (10 to 90 degrees two-theta):
2θ = 14.5°, intensity 25
2θ = 20.8°, intensity 42
2θ = 25.2°, intensity 41
2θ = 29.2°, intensity 40
2θ = 32.9°, intensity 84
2θ = 36.1°, intensity 100
2θ = 42.3°, intensity 23
2θ = 44.6°, intensity 23
2θ = 54.1°, intensity 25
2θ = 58.6°, intensity 32

Crystal structure
```
data_LiDyGe
_chemical_formula_sum 'Li3 Dy3 Ge3'
_cell_length_a 7.0597
_cell_length_b 7.0597
_cell_length_c 4.2737
_cell_angle_alpha 90.00
_cell_angle_beta 90.00
_cell_angle_gamma 120.00
_symmetry_space_group_name_H-M 'P -6 2 m'
_symmetry_Int_Tables_number 189
_symmetry_space_group_name_Hall 'P -6 -2'
loop_
_atom_site_label
_atom_site_fract_x
_atom_site_fract_y
_atom_site_fract_z
Li1 0.0000 0.2348 0.0000
Dy1 0.0000 0.5790 0.5000
Ge1 0.0000 0.0000 0.5000
Ge2 0.3333 0.6667 0.0000
```



12.
For Mg6TiCdO8, a GGA-PBE-relaxed structure gives the theoretical powder diffraction line list in this record (Cu Ka).
Peak positions follow from Bragg's law for the DFT cell and can differ from measured ones.

Main lines, sorted by position (10 to 90 degrees two-theta):
2θ = 10.1°, intensity 76
2θ = 20.2°, intensity 21
2θ = 28.8°, intensity 29
2θ = 30.6°, intensity 29
2θ = 35.5°, intensity 53
2θ = 41.0°, intensity 50
2θ = 41.3°, intensity 100
2θ = 59.6°, intensity 57
2θ = 59.8°, intensity 29
2θ = 75.1°, intensity 26

Crystal structure
```
data_Mg6TiCdO8
_chemical_formula_sum 'Mg6 Ti1 Cd1 O8'
_cell_length_a 4.3744
_cell_length_b 4.3744
_cell_length_c 8.8010
_cell_angle_alpha 90.00
_cell_angle_beta 90.00
_cell_angle_gamma 90.00
_symmetry_space_group_name_H-M 'P 4/m m m'
_symmetry_Int_Tables_number 123
_symmetry_space_group_name_Hall '-P 4 2'
loop_
_atom_site_label
_atom_site_fract_x
_atom_site_fract_y
_atom_site_fract_z
Mg1 0.0000 0.0000 0.0000
Mg2 0.0000 0.5000 0.2413
Mg3 0.5000 0.5000 0.0000
Ti1 0.0000 0.0000 0.5000
Cd1 0.5000 0.5000 0.5000
O1 0.0000 0.0000 0.2457
O2 0.0000 0.5000 0.0000
O3 0.0000 0.5000 0.5000
O4 0.5000 0.5000 0.2320
```